Structure and theoretical XRD peak list of Ba4Mg5 (a PBE-relaxed structure; Cu Kα (λ = 1.5418 Å)).
Intensities are scaled so that the largest is 100.

Cell and atoms:
Unit cell a=8.494 b=8.494 c=8.494 alpha=96.37 beta=96.37 gamma=141.08
Atoms (fractional coordinates):
Ba 0.000 0.305 0.305
Ba 0.000 0.695 0.695
Ba 0.305 0.000 0.305
Ba 0.695 0.000 0.695
Mg 0.000 0.000 0.000
Mg 0.360 0.360 0.720
Mg 0.360 0.640 0.000
Mg 0.640 0.360 0.000
Mg 0.640 0.640 0.280

Most intense lines, 10 to 80 degrees two-theta, by angle:
two_theta, intensity
17.52, 15.1
22.20, 34.8
23.57, 55.1
28.42, 100.0
31.61, 27.9
33.57, 29.5
38.97, 16.1
46.04, 27.7
46.78, 21.2
54.35, 19.9

Structure and theoretical XRD peak list of Ba2PuZn3Pt4 (a PBE-relaxed structure; Cu Kα (λ = 1.5418 Å)).
Intensities are scaled so that the largest is 100.

Cell and atoms:
Unit cell a=4.476 b=4.476 c=11.389 alpha=90.00 beta=90.00 gamma=90.00
Atoms (fractional coordinates):
Ba 0.000 0.500 0.230
Ba 0.500 0.000 0.770
Pu 0.000 0.000 0.500
Zn 0.000 0.500 0.883
Zn 0.500 0.000 0.117
Zn 0.500 0.500 0.500
Pt 0.000 0.000 0.000
Pt 0.000 0.500 0.649
Pt 0.500 0.000 0.351
Pt 0.500 0.500 0.000

Most intense lines, 10 to 80 degrees two-theta, by angle:
two_theta, intensity
15.56, 14.3
25.31, 18.6
30.88, 27.1
32.36, 100.0
40.30, 55.4
42.72, 36.2
44.64, 17.8
58.31, 18.8
68.28, 23.7
74.92, 13.8

Structure and theoretical XRD peak list of K2Nd2Ti3O10 (a PBE-relaxed structure; Cu Kα (λ = 1.5418 Å)).
Intensities are scaled so that the largest is 100.

Cell and atoms:
Unit cell a=15.214 b=3.906 c=15.211 alpha=82.67 beta=14.75 gamma=82.58
Atoms (fractional coordinates):
K 0.208 0.792 0.208
K 0.792 0.208 0.792
Nd 0.095 0.952 0.048
Nd 0.952 0.095 0.905
Ti 0.363 0.642 0.358
Ti 0.494 0.494 0.506
Ti 0.642 0.363 0.637
O 0.122 0.375 0.129
O 0.300 0.697 0.303
O 0.375 0.122 0.374
O 0.410 0.538 0.462
O 0.441 0.971 0.559
O 0.538 0.410 0.590
O 0.626 0.871 0.625
O 0.697 0.300 0.700
O 0.871 0.626 0.878
O 0.971 0.441 0.029

Most intense lines, 10 to 80 degrees two-theta, by angle:
two_theta, intensity
22.96, 18.5
31.02, 100.0
32.32, 25.5
32.52, 25.2
40.69, 13.3
42.29, 16.2
46.50, 32.6
56.82, 17.4
57.08, 17.5
64.66, 15.8

Structure and theoretical XRD peak list of PmPrP2Rh5 (a PBE-relaxed structure; Cu Kα (λ = 1.5418 Å)).
Intensities are scaled so that the largest is 100.

Cell and atoms:
Unit cell a=4.079 b=4.079 c=10.831 alpha=90.00 beta=90.00 gamma=90.00
Atoms (fractional coordinates):
Pm 0.000 0.000 0.000
Pr 0.000 0.000 0.500
P 0.500 0.500 0.290
P 0.500 0.500 0.710
Rh 0.000 0.500 0.200
Rh 0.000 0.500 0.800
Rh 0.500 0.000 0.200
Rh 0.500 0.000 0.800
Rh 0.500 0.500 0.500

Most intense lines, 10 to 80 degrees two-theta, by angle:
two_theta, intensity
24.66, 21.6
27.37, 23.5
32.11, 16.6
33.08, 21.2
35.25, 100.0
40.00, 15.3
44.42, 42.6
52.85, 22.0
56.49, 17.6
75.81, 21.0

Structure and theoretical XRD peak list of AcCd2Ni2Pt (a PBE-relaxed structure; Cu Kα (λ = 1.5418 Å)).
Intensities are scaled so that the largest is 100.

Cell and atoms:
Unit cell a=6.405 b=6.405 c=6.405 alpha=133.95 beta=133.95 gamma=67.17
Atoms (fractional coordinates):
Ac 0.000 0.000 0.000
Cd 0.250 0.750 0.500
Cd 0.750 0.250 0.500
Ni 0.272 0.272 0.000
Ni 0.728 0.728 0.000
Pt 0.500 0.500 0.000

Most intense lines, 10 to 80 degrees two-theta, by angle:
two_theta, intensity
25.13, 29.1
30.28, 100.0
33.59, 40.9
35.84, 72.1
42.41, 13.3
49.93, 53.1
51.59, 25.3
58.02, 18.5
61.00, 28.0
62.98, 26.1

Structure and theoretical XRD peak list of NaH4Rh (a PBE-relaxed structure; Cu Kα (λ = 1.5418 Å)).
Intensities are scaled so that the largest is 100.

Cell and atoms:
Unit cell a=5.177 b=4.447 c=4.431 alpha=90.00 beta=90.30 gamma=90.00
Atoms (fractional coordinates):
Na 0.000 0.000 0.000
Na 0.000 0.500 0.500
H 0.183 0.053 0.499
H 0.183 0.447 0.999
H 0.370 0.745 0.254
H 0.370 0.755 0.754
H 0.630 0.245 0.246
H 0.630 0.255 0.746
H 0.817 0.553 0.001
H 0.817 0.947 0.501
Rh 0.500 0.000 0.500
Rh 0.500 0.500 0.000

Most intense lines, 10 to 80 degrees two-theta, by angle:
two_theta, intensity
17.13, 100.0
28.43, 60.7
33.33, 93.3
33.44, 92.6
34.66, 41.3
40.57, 27.1
40.73, 27.0
44.35, 23.4
54.39, 33.4
69.33, 20.9